(1)
Calculated powder diffraction line list
Compound: Zr2NiGe2Pd
Radiation: Cu Kα (λ = 1.5418 Å)
Structure: a GGA-PBE-relaxed structure

Structure:
a = 7.4073 Å, b = 4.2596 Å, c = 14.1527 Å
α = 90.00°, β = 99.75°, γ = 90.00°
Fractional positions:
Zr 0.0000 0.0000 0.0000
Zr 0.0075 0.5000 0.4938
Zr 0.2371 0.0000 0.7378
Zr 0.2474 0.5000 0.2428
Zr 0.4834 0.0000 0.4853
Zr 0.4996 0.5000 0.9992
Zr 0.7438 0.0000 0.2381
Zr 0.7571 0.5000 0.7407
Ni 0.0603 0.5000 0.6776
Ni 0.0606 0.0000 0.1825
Ni 0.3066 0.5000 0.4267
Ni 0.5587 0.5000 0.1813
Ge 0.1221 0.5000 0.8630
Ge 0.1245 0.0000 0.3638
Ge 0.3655 0.5000 0.6128
Ge 0.3726 0.0000 0.1232
Ge 0.6139 0.5000 0.3636
Ge 0.6214 0.0000 0.8665
Ge 0.8753 0.5000 0.1239
Ge 0.8780 0.0000 0.6169
Pd 0.3091 0.0000 0.9309
Pd 0.5585 0.0000 0.6765
Pd 0.8092 0.0000 0.4284
Pd 0.8118 0.5000 0.9323

Top 10 peaks for 10° ≤ 2θ ≤ 80°, in order of rising 2θ:
| 2θ/deg | Rel. int. |
| --- | --- |
| 25.56 | 48 |
| 29.65 | 14 |
| 42.30 | 100 |
| 42.43 | 50 |
| 49.97 | 7 |
| 50.19 | 14 |
| 61.18 | 8 |
| 61.56 | 16 |
| 77.28 | 15 |
| 77.54 | 31 |



(2)
Calculated powder diffraction line list
Compound: GdHo2In3Ni2Au
Radiation: Cu Kα (λ = 1.5418 Å)
Structure: a GGA-PBE-relaxed structure

Structure:
a = 3.9175 Å, b = 7.5327 Å, c = 7.5327 Å
α = 119.99°, β = 90.00°, γ = 90.00°
Fractional positions:
Gd 0.0000 0.0000 0.0000
Ho 0.0000 0.4085 0.8177
Ho 0.0000 0.8177 0.4085
In 0.5000 0.1365 0.4104
In 0.5000 0.4104 0.1365
In 0.5000 0.6812 0.6812
Ni 0.5000 0.0767 0.7414
Ni 0.5000 0.7414 0.0767
Au 0.0000 0.4106 0.4106

Top 10 peaks for 10° ≤ 2θ ≤ 80°, in order of rising 2θ:
| 2θ/deg | Rel. int. |
| --- | --- |
| 27.34 | 23 |
| 32.99 | 97 |
| 35.82 | 100 |
| 36.44 | 36 |
| 41.53 | 42 |
| 43.36 | 24 |
| 46.35 | 24 |
| 60.35 | 16 |
| 63.97 | 23 |
| 66.93 | 35 |



(3)
Calculated powder diffraction line list
Compound: PmN
Radiation: Cu Kα (λ = 1.5418 Å)
Structure: a GGA-PBE-relaxed structure

Structure:
a = 3.5979 Å, b = 3.5979 Å, c = 3.5979 Å
α = 60.00°, β = 60.00°, γ = 60.00°
Fractional positions:
Pm 0.0000 0.0000 0.0000
N 0.5000 0.5000 0.5000

Top 6 peaks for 10° ≤ 2θ ≤ 80°, in order of rising 2θ:
| 2θ/deg | Rel. int. |
| --- | --- |
| 30.43 | 100 |
| 35.28 | 74 |
| 50.75 | 51 |
| 60.33 | 45 |
| 63.32 | 17 |
| 74.61 | 8 |



(4)
Calculated powder diffraction line list
Compound: Sm4CBr3F2
Radiation: Cu Kα (λ = 1.5418 Å)
Structure: a GGA-PBE-relaxed structure

Structure:
a = 8.8951 Å, b = 8.8951 Å, c = 8.1424 Å
α = 100.78°, β = 100.78°, γ = 24.62°
Fractional positions:
Sm 0.0013 0.0013 0.2076
Sm 0.3577 0.3577 0.9208
Sm 0.6423 0.6423 0.0792
Sm 0.9987 0.9987 0.7924
C 0.5000 0.5000 0.0000
Br 0.1731 0.1731 0.8183
Br 0.5000 0.5000 0.5000
Br 0.8269 0.8269 0.1817
F 0.1437 0.1437 0.2552
F 0.8563 0.8563 0.7448

Top 10 peaks for 10° ≤ 2θ ≤ 80°, in order of rising 2θ:
| 2θ/deg | Rel. int. |
| --- | --- |
| 10.37 | 51 |
| 11.07 | 100 |
| 31.46 | 44 |
| 31.57 | 17 |
| 32.27 | 98 |
| 35.42 | 24 |
| 35.57 | 25 |
| 44.97 | 29 |
| 46.41 | 24 |
| 47.97 | 18 |



(5)
Calculated powder diffraction line list
Compound: ZnPd17
Radiation: Cu Kα (λ = 1.5418 Å)
Structure: a GGA-PBE-relaxed structure

Structure:
a = 4.7989 Å, b = 5.5313 Å, c = 33.6357 Å
α = 90.00°, β = 90.00°, γ = 90.00°
Fractional positions:
Zn 0.1657 0.2500 0.2293
Zn 0.8343 0.7500 0.7707
Pd 0.0000 0.0000 0.5000
Pd 0.0001 0.0005 0.2948
Pd 0.0001 0.4995 0.2948
Pd 0.0000 0.5000 0.5000
Pd 0.9999 0.5005 0.7052
Pd 0.9999 0.9995 0.7052
Pd 0.1662 0.2500 0.6362
Pd 0.1664 0.7500 0.6368
Pd 0.1670 0.2500 0.4317
Pd 0.1667 0.7500 0.4318
Pd 0.1687 0.7500 0.2266
Pd 0.3332 0.0002 0.3633
Pd 0.3334 0.9998 0.5682
Pd 0.3332 0.4998 0.3633
Pd 0.3334 0.5002 0.5682
Pd 0.3337 0.5006 0.7734
Pd 0.3337 0.9994 0.7734
Pd 0.4974 0.2500 0.2946
Pd 0.4992 0.2500 0.7044
Pd 0.5000 0.2500 0.5000
Pd 0.5000 0.7500 0.5000
Pd 0.5008 0.7500 0.2956
Pd 0.5026 0.7500 0.7054
Pd 0.6663 0.0006 0.2266
Pd 0.6663 0.4994 0.2266
Pd 0.6666 0.0002 0.4318
Pd 0.6668 0.9998 0.6367
Pd 0.6666 0.4998 0.4318
Pd 0.6668 0.5002 0.6367
Pd 0.8313 0.2500 0.7734
Pd 0.8333 0.2500 0.5682
Pd 0.8330 0.7500 0.5683
Pd 0.8336 0.2500 0.3632
Pd 0.8338 0.7500 0.3638

Top 10 peaks for 10° ≤ 2θ ≤ 80°, in order of rising 2θ:
| 2θ/deg | Rel. int. |
| --- | --- |
| 10.52 | 16 |
| 37.43 | 24 |
| 39.09 | 26 |
| 39.92 | 100 |
| 40.22 | 28 |
| 40.94 | 16 |
| 44.92 | 35 |
| 46.52 | 61 |
| 65.55 | 16 |
| 68.10 | 16 |



(6)
Calculated powder diffraction line list
Compound: Na2Ir2O5
Radiation: Cu Kα (λ = 1.5418 Å)
Structure: a GGA-PBE-relaxed structure

Structure:
a = 4.9476 Å, b = 4.9670 Å, c = 5.8184 Å
α = 67.79°, β = 65.55°, γ = 68.32°
Fractional positions:
Na 0.0000 0.0000 0.0000
Na 0.2781 0.3090 0.1628
Ir 0.4963 0.4885 0.5570
Ir 0.8159 0.8090 0.5759
O 0.0615 0.4602 0.7688
O 0.2374 0.8142 0.3461
O 0.4249 0.7105 0.8014
O 0.6438 0.2027 0.3478
O 0.7034 0.1185 0.7640

Top 10 peaks for 10° ≤ 2θ ≤ 80°, in order of rising 2θ:
| 2θ/deg | Rel. int. |
| --- | --- |
| 17.37 | 100 |
| 19.96 | 17 |
| 20.38 | 17 |
| 22.20 | 16 |
| 22.75 | 17 |
| 32.18 | 24 |
| 36.20 | 17 |
| 36.55 | 20 |
| 36.69 | 20 |
| 40.86 | 15 |



(7)
Calculated powder diffraction line list
Compound: Pr2Ta2O7F2
Radiation: Cu Kα (λ = 1.5418 Å)
Structure: a GGA-PBE-relaxed structure

Structure:
a = 7.8864 Å, b = 7.8864 Å, c = 6.6811 Å
α = 114.45°, β = 114.45°, γ = 28.59°
Fractional positions:
Pr 0.2017 0.2017 0.2020
Pr 0.7983 0.7983 0.7980
Ta 0.4616 0.4616 0.1905
Ta 0.5384 0.5384 0.8095
O 0.0472 0.0472 0.8463
O 0.3210 0.3210 0.0679
O 0.4136 0.4136 0.8303
O 0.5000 0.5000 0.5000
O 0.5864 0.5864 0.1697
O 0.6790 0.6790 0.9321
O 0.9528 0.9528 0.1537
F 0.2088 0.2088 0.5764
F 0.7912 0.7912 0.4236

Top 10 peaks for 10° ≤ 2θ ≤ 80°, in order of rising 2θ:
| 2θ/deg | Rel. int. |
| --- | --- |
| 14.66 | 64 |
| 23.58 | 77 |
| 23.74 | 61 |
| 29.46 | 77 |
| 29.58 | 50 |
| 29.84 | 69 |
| 30.05 | 100 |
| 35.00 | 45 |
| 35.96 | 45 |
| 46.65 | 40 |



(8)
Calculated powder diffraction line list
Compound: ZrPH2O5
Radiation: Cu Kα (λ = 1.5418 Å)
Structure: a GGA-PBE-relaxed structure

Structure:
a = 5.3502 Å, b = 5.3502 Å, c = 7.1129 Å
α = 104.24°, β = 104.24°, γ = 101.92°
Fractional positions:
Zr 0.0000 0.0000 0.0000
Zr 0.0000 0.0000 0.5000
P 0.3430 0.6570 0.7500
P 0.6570 0.3430 0.2500
H 0.1034 0.6191 0.2049
H 0.3809 0.8966 0.2951
H 0.6191 0.1034 0.7049
H 0.8966 0.3809 0.7951
O 0.1264 0.6540 0.8591
O 0.1764 0.8236 0.2500
O 0.2742 0.3765 0.5946
O 0.3460 0.8736 0.6409
O 0.3765 0.2742 0.0946
O 0.6235 0.7258 0.9054
O 0.6540 0.1264 0.3591
O 0.7258 0.6235 0.4054
O 0.8236 0.1764 0.7500
O 0.8736 0.3460 0.1409

Top 10 peaks for 10° ≤ 2θ ≤ 80°, in order of rising 2θ:
| 2θ/deg | Rel. int. |
| --- | --- |
| 17.84 | 90 |
| 21.38 | 21 |
| 25.38 | 20 |
| 27.54 | 100 |
| 28.78 | 46 |
| 34.89 | 60 |
| 35.49 | 26 |
| 43.02 | 23 |
| 45.18 | 20 |
| 52.74 | 23 |



(9)
Calculated powder diffraction line list
Compound: GdMgGa
Radiation: Cu Kα (λ = 1.5418 Å)
Structure: a GGA-PBE-relaxed structure

Structure:
a = 7.3872 Å, b = 4.4153 Å, c = 8.5544 Å
α = 90.00°, β = 90.00°, γ = 90.00°
Fractional positions:
Gd 0.0231 0.2500 0.1830
Gd 0.4769 0.7500 0.6830
Gd 0.5231 0.2500 0.3170
Gd 0.9769 0.7500 0.8170
Mg 0.1493 0.2500 0.5594
Mg 0.3507 0.7500 0.0594
Mg 0.6493 0.2500 0.9406
Mg 0.8507 0.7500 0.4406
Ga 0.2424 0.7500 0.3798
Ga 0.2576 0.2500 0.8798
Ga 0.7424 0.7500 0.1202
Ga 0.7576 0.2500 0.6202

Top 10 peaks for 10° ≤ 2θ ≤ 80°, in order of rising 2θ:
| 2θ/deg | Rel. int. |
| --- | --- |
| 15.85 | 17 |
| 22.66 | 24 |
| 31.54 | 60 |
| 32.02 | 19 |
| 33.32 | 100 |
| 33.69 | 31 |
| 37.55 | 16 |
| 40.88 | 26 |
| 48.89 | 26 |
| 53.97 | 16 |



(10)
Calculated powder diffraction line list
Compound: Pr3AlGaFe4
Radiation: Cu Kα (λ = 1.5418 Å)
Structure: a GGA-PBE-relaxed structure

Structure:
a = 5.6729 Å, b = 5.6729 Å, c = 8.2911 Å
α = 99.97°, β = 99.97°, γ = 43.54°
Fractional positions:
Pr 0.0000 0.0000 0.0000
Pr 0.2520 0.2520 0.7535
Pr 0.6246 0.6246 0.3762
Al 0.9509 0.9509 0.5978
Ga 0.2991 0.2991 0.1511
Fe 0.3771 0.3771 0.4525
Fe 0.5443 0.5443 0.7416
Fe 0.7059 0.7059 0.0082
Fe 0.8722 0.8722 0.2976

Top 10 peaks for 10° ≤ 2θ ≤ 80°, in order of rising 2θ:
| 2θ/deg | Rel. int. |
| --- | --- |
| 26.02 | 100 |
| 30.61 | 67 |
| 32.99 | 34 |
| 33.59 | 79 |
| 34.33 | 79 |
| 37.54 | 83 |
| 38.41 | 30 |
| 41.86 | 51 |
| 42.99 | 58 |
| 56.13 | 38 |



(11)
Calculated powder diffraction line list
Compound: Li6Hf2O7
Radiation: Cu Kα (λ = 1.5418 Å)
Structure: a GGA-PBE-relaxed structure

Structure:
a = 5.2544 Å, b = 5.2748 Å, c = 5.9620 Å
α = 73.33°, β = 89.36°, γ = 79.09°
Fractional positions:
Li 0.0678 0.2532 0.4351
Li 0.3614 0.6752 0.3268
Li 0.3715 0.7160 0.8298
Li 0.6285 0.2840 0.1702
Li 0.6386 0.3248 0.6732
Li 0.9322 0.7468 0.5649
Hf 0.1455 0.2463 0.9233
Hf 0.8545 0.7537 0.0767
O 0.0029 0.0007 0.7602
O 0.2294 0.4856 0.1255
O 0.2625 0.4831 0.6340
O 0.5000 0.0000 0.0000
O 0.7375 0.5169 0.3660
O 0.7706 0.5144 0.8745
O 0.9971 0.9993 0.2398

Top 10 peaks for 10° ≤ 2θ ≤ 80°, in order of rising 2θ:
| 2θ/deg | Rel. int. |
| --- | --- |
| 15.53 | 100 |
| 17.20 | 40 |
| 22.34 | 26 |
| 23.79 | 32 |
| 27.28 | 23 |
| 28.31 | 23 |
| 29.80 | 26 |
| 36.25 | 21 |
| 42.10 | 19 |
| 42.52 | 35 |



(12)
Calculated powder diffraction line list
Compound: ThB4Ir
Radiation: Cu Kα (λ = 1.5418 Å)
Structure: a GGA-PBE-relaxed structure

Structure:
a = 3.3233 Å, b = 3.3233 Å, c = 6.8746 Å
α = 90.00°, β = 90.00°, γ = 120.00°
Fractional positions:
Th 0.0000 0.0000 0.0000
B 0.3333 0.6667 0.2950
B 0.3333 0.6667 0.7050
B 0.6667 0.3333 0.2950
B 0.6667 0.3333 0.7050
Ir 0.0000 0.0000 0.5000

Top 10 peaks for 10° ≤ 2θ ≤ 80°, in order of rising 2θ:
| 2θ/deg | Rel. int. |
| --- | --- |
| 25.92 | 44 |
| 31.07 | 90 |
| 33.76 | 1 |
| 40.90 | 100 |
| 53.30 | 8 |
| 55.28 | 22 |
| 62.04 | 25 |
| 62.99 | 26 |
| 64.79 | 12 |
| 71.01 | 20 |